Calculated X-ray powder pattern
Compound: LiFe8O14F2
Radiation: Cu Kα
Structure: a PBE+U-relaxed structure
Neutral-atom scattering factors, no anomalous dispersion.

Main lines, most intense first (15 to 90 degrees two-theta):
- 2θ = 26.73°, intensity 1000
- 2θ = 35.53°, intensity 255
- 2θ = 35.66°, intensity 253
- 2θ = 53.05°, intensity 223
- 2θ = 53.31°, intensity 216
- 2θ = 55.07°, intensity 169
- 2θ = 53.14°, intensity 147
- 2θ = 62.21°, intensity 141
- 2θ = 38.16°, intensity 111
- 2θ = 40.48°, intensity 68

Crystal structure
```
data_LiFe8O14F2
_cell_length_a 4.7132
_cell_length_b 4.7207
_cell_length_c 11.9390
_cell_angle_alpha 90.16
_cell_angle_beta 90.31
_cell_angle_gamma 90.03
_symmetry_space_group_name_H-M 'P 1'
_symmetry_Int_Tables_number 1
_symmetry_space_group_name_Hall 'P 1'
loop_
_atom_site_label
_atom_site_fract_x
_atom_site_fract_y
_atom_site_fract_z
_atom_site_occupancy
Li1 0.0000 0.0000 0.0000 1
Fe1 0.4979 0.0078 0.4320 1
Fe2 0.5004 0.0124 0.6742 1
Fe3 0.5001 0.0122 0.9325 1
Fe4 0.5219 0.9786 0.1851 1
Fe5 0.9706 0.4836 0.8046 1
Fe6 0.9916 0.5066 0.0566 1
Fe7 0.9949 0.5104 0.3149 1
Fe8 0.9988 0.5078 0.5575 1
O1 0.1791 0.2987 0.9314 1
O2 0.1803 0.3106 0.6788 1
O3 0.1891 0.3180 0.4355 1
O4 0.3065 0.8077 0.0580 1
O5 0.3082 0.8177 0.5537 1
O6 0.3146 0.8102 0.3105 1
O7 0.6705 0.1897 0.8037 1
O8 0.6878 0.2014 0.5509 1
O9 0.6931 0.1916 0.3102 1
O10 0.7019 0.1938 0.0621 1
O11 0.8029 0.6940 0.6788 1
O12 0.8037 0.7066 0.9295 1
O13 0.8096 0.7002 0.4382 1
O14 0.8246 0.6881 0.1854 1
F1 0.2030 0.2995 0.1849 1
F2 0.2944 0.7997 0.8042 1
```

---

Calculated X-ray powder pattern
Compound: LiFe6O4F8
Radiation: Cu Kα
Structure: a PBE+U-relaxed structure
Neutral-atom scattering factors, no anomalous dispersion.

Main lines, most intense first (15 to 90 degrees two-theta):
- 2θ = 33.83°, intensity 1000
- 2θ = 24.65°, intensity 968
- 2θ = 26.92°, intensity 837
- 2θ = 52.12°, intensity 460
- 2θ = 49.63°, intensity 322
- 2θ = 49.52°, intensity 315
- 2θ = 64.42°, intensity 240
- 2θ = 50.54°, intensity 205
- 2θ = 37.87°, intensity 183
- 2θ = 39.45°, intensity 174

Crystal structure
```
data_LiFe6O4F8
_cell_length_a 5.8207
_cell_length_b 5.8275
_cell_length_c 7.8888
_cell_angle_alpha 69.40
_cell_angle_beta 69.53
_cell_angle_gamma 69.32
_symmetry_space_group_name_H-M 'P 1'
_symmetry_Int_Tables_number 1
_symmetry_space_group_name_Hall 'P 1'
loop_
_atom_site_label
_atom_site_fract_x
_atom_site_fract_y
_atom_site_fract_z
_atom_site_occupancy
Li1 0.0000 0.0000 0.0000 1
Fe1 0.2454 0.7452 0.2789 1
Fe2 0.2943 0.7033 0.7422 1
Fe3 0.5453 0.0973 0.9160 1
Fe4 0.5867 0.0908 0.4263 1
Fe5 0.9272 0.4351 0.5875 1
Fe6 0.9413 0.4044 0.1064 1
O1 0.2072 0.0760 0.1014 1
O2 0.2887 0.3847 0.4275 1
O3 0.6014 0.4260 0.7481 1
O4 0.8884 0.7856 0.4273 1
F1 0.0347 0.4894 0.7950 1
F2 0.1617 0.6501 0.0598 1
F3 0.3719 0.8579 0.4432 1
F4 0.4920 0.9780 0.7058 1
F5 0.6267 0.7064 0.0988 1
F6 0.6854 0.1704 0.1414 1
F7 0.8177 0.3018 0.4054 1
F8 0.9837 0.0202 0.7634 1
```